Simulated powder X-ray diffraction pattern of Ba2TlCo2O7 for Cu Kα, from a crystal structure in Alexandria, relaxed with PBE+U.
Neutral-atom scattering factors, no anomalous dispersion.

Principal peaks in the range 10 to 90 degrees two-theta, low angle first:
Position (°2θ)  d/Å  intensity  h k l
27.0  3.307  72  1 0 2
30.4  2.941  100  1 0 3
31.1  2.873  27  0 0 5
34.0  2.634  51  1 1 0
34.6  2.591  25  1 1 1
46.8  1.942  34  1 1 5
48.9  1.863  27  2 0 0
56.7  1.623  19  2 1 2
56.9  1.618  21  1 0 8
58.7  1.574  32  2 1 3

Crystal structure
Lattice parameters (Å, degrees): 3.7257 3.7257 14.3655 90.00 90.00 90.00
Space group P4/mmm (No. 123)
Inequivalent atoms, fractional coordinates:
Ba 0.0000 0.0000 0.1940 [2 per cell]
Tl 0.5000 0.5000 0.0000 [1 per cell]
Co 0.5000 0.5000 0.3629 [2 per cell]
O 0.0000 0.0000 0.0000 [1 per cell]
O 0.0000 0.5000 0.3516 [4 per cell]
O 0.5000 0.5000 0.1469 [2 per cell]